Tl2VPbF6: theoretical powder XRD pattern (CuKα), based on a crystal structure in Alexandria, relaxed with PBE+U.

Cell and atoms:
```
data_Tl2VPbF6
_chemical_formula_sum 'Tl4 V2 Pb2 F12'
_space_group_name_H-M_alt 'P m m n'
_space_group_IT_number 59
_cell_length_a 6.2385
_cell_length_b 9.0536
_cell_length_c 6.7145
_cell_angle_alpha 90.00
_cell_angle_beta 90.00
_cell_angle_gamma 90.00
loop_
_space_group_symop_operation_xyz
'x,y,z'
'-x,-y,-z'
'-x+1/2,-y+1/2,z'
'x+1/2,y+1/2,-z'
'x+1/2,-y,-z'
'-x+1/2,y,z'
'-x,y+1/2,-z'
'x,-y+1/2,z'
loop_
_atom_site_label
_atom_site_fract_x
_atom_site_fract_y
_atom_site_fract_z
Tl1 0.2500 0.0280 0.2057
V1 0.2500 0.7500 0.7769
Pb1 0.2500 0.2500 0.7139
F1 0.0008 0.7500 0.9963
F2 0.0017 0.7500 0.5627
F3 0.2500 0.5151 0.7918
```

Peak list (10 most intense, 10° ≤ 2θ ≤ 90°, by angle)
two_theta, Rel. int., index
17.26, 22, 1 1 0
26.55, 25, 0 0 2
27.74, 100, 1 2 1
28.62, 27, 2 0 0
39.43, 27, 2 0 2
39.83, 13, 0 4 0
43.87, 12, 2 3 1
47.61, 13, 1 2 3
50.15, 22, 3 2 1
57.29, 14, 2 4 2